This entry pairs a crystal structure of ErAgTeS with its theoretical powder XRD pattern. Radiation: copper Kα. Structure: a crystal structure in OQMD, relaxed with GGA-PBE.
Intensities are scaled so that the largest is 100.

Main lines, low angle first (2θ = 10–80°):
index, d_spacing, 2theta, Rel. int.
2 0 0, 4.501, 19.7, 39
1 1 1, 3.612, 24.7, 55
2 0 1, 3.094, 28.9, 67
2 2 1, 2.659, 33.7, 100
0 4 0, 2.599, 34.5, 62
1 3 1, 2.576, 34.8, 91
4 0 0, 2.250, 40.1, 54
3 3 1, 2.002, 45.3, 58

Crystal structure
```
data_ErAgTeS
_symmetry_space_group_name_H-M 'C m m 2'
_symmetry_Int_Tables_number 35
_cell_length_a 9.001
_cell_length_b 10.394
_cell_length_c 4.261
_cell_angle_alpha 90.00
_cell_angle_beta 90.00
_cell_angle_gamma 90.00
loop_
_symmetry_equiv_pos_as_xyz
'x,y,z'
'-x,-y,z'
'-x,y,z'
'x,-y,z'
'x+1/2,y+1/2,z'
'-x+1/2,-y+1/2,z'
'-x+1/2,y+1/2,z'
'x+1/2,-y+1/2,z'
loop_
_atom_site_label
_atom_site_type_symbol
_atom_site_fract_x
_atom_site_fract_y
_atom_site_fract_z
Er1 Er 0.000 0.000 0.000
Er2 Er 0.000 0.500 0.395
Ag1 Ag 0.250 0.250 0.109
Te1 Te 0.000 0.209 0.495
S1 S 0.197 0.500 0.917
```

This entry pairs a crystal structure of YErAg2S4 with its theoretical powder XRD pattern. Radiation: copper Kα. Structure: a crystal structure in OQMD, relaxed with GGA-PBE.
Intensities are scaled so that the largest is 100.

Main lines, low angle first (2θ = 10–80°):
index, d_spacing, 2theta, Rel. int.
1 1 1, 3.474, 25.6, 76
2 2 0, 3.266, 27.3, 100
0 2 1, 3.068, 29.1, 69
2 2 1, 2.555, 35.1, 62
1 3 1, 2.380, 37.8, 100
4 0 0, 2.310, 39.0, 90
2 0 2, 1.875, 48.6, 68
4 2 2, 1.455, 64.0, 49

Crystal structure
```
data_YErAg2S4
_symmetry_space_group_name_H-M 'C m m 2'
_symmetry_Int_Tables_number 35
_cell_length_a 9.232
_cell_length_b 9.244
_cell_length_c 4.102
_cell_angle_alpha 90.00
_cell_angle_beta 90.00
_cell_angle_gamma 90.00
loop_
_symmetry_equiv_pos_as_xyz
'x,y,z'
'-x,-y,z'
'-x,y,z'
'x,-y,z'
'x+1/2,y+1/2,z'
'-x+1/2,-y+1/2,z'
'-x+1/2,y+1/2,z'
'x+1/2,-y+1/2,z'
loop_
_atom_site_label
_atom_site_type_symbol
_atom_site_fract_x
_atom_site_fract_y
_atom_site_fract_z
Y1 Y 0.000 0.000 0.000
Er1 Er 0.000 0.500 0.549
Ag1 Ag 0.250 0.250 0.774
S1 S 0.000 0.302 0.043
S2 S 0.202 0.000 0.504
```

This entry pairs a crystal structure of TbErAg2Se4 with its theoretical powder XRD pattern. Radiation: copper Kα. Structure: a crystal structure in OQMD, relaxed with GGA-PBE.
Intensities are scaled so that the largest is 100.

Main lines, low angle first (2θ = 10–80°):
index, d_spacing, 2theta, Rel. int.
1 1 1, 3.632, 24.5, 43
2 2 0, 3.376, 26.4, 31
0 2 1, 3.199, 27.9, 68
2 2 1, 2.657, 33.7, 57
1 3 1, 2.473, 36.3, 100
4 0 0, 2.387, 37.7, 88
3 3 1, 1.995, 45.5, 54
0 2 2, 1.964, 46.2, 48

Crystal structure
```
data_TbErAg2Se4
_symmetry_space_group_name_H-M 'C m m 2'
_symmetry_Int_Tables_number 35
_cell_length_a 9.542
_cell_length_b 9.557
_cell_length_c 4.308
_cell_angle_alpha 90.00
_cell_angle_beta 90.00
_cell_angle_gamma 90.00
loop_
_symmetry_equiv_pos_as_xyz
'x,y,z'
'-x,-y,z'
'-x,y,z'
'x,-y,z'
'x+1/2,y+1/2,z'
'-x+1/2,-y+1/2,z'
'-x+1/2,y+1/2,z'
'x+1/2,-y+1/2,z'
loop_
_atom_site_label
_atom_site_type_symbol
_atom_site_fract_x
_atom_site_fract_y
_atom_site_fract_z
Tb1 Tb 0.000 0.000 0.000
Er1 Er 0.000 0.500 0.592
Ag1 Ag 0.250 0.250 0.796
Se1 Se 0.000 0.300 0.080
Se2 Se 0.204 0.000 0.512
```

This entry pairs a crystal structure of Er2Ag2TeSe3 with its theoretical powder XRD pattern. Radiation: copper Kα. Structure: a crystal structure in OQMD, relaxed with GGA-PBE.
Intensities are scaled so that the largest is 100.

Main lines, low angle first (2θ = 10–80°):
index, d_spacing, 2theta, Rel. int.
0 2 1, 3.202, 27.9, 98
2 2 -1, 2.691, 33.3, 95
3 1 1, 2.506, 35.8, 60
4 0 0, 2.451, 36.7, 100
0 4 0, 2.363, 38.1, 96
3 3 -1, 2.018, 44.9, 60
3 3 1, 2.005, 45.2, 62
0 2 2, 1.978, 45.9, 75

Crystal structure
```
data_Er2Ag2TeSe3
_symmetry_space_group_name_H-M 'C 1 m 1'
_symmetry_Int_Tables_number 8
_cell_length_a 9.805
_cell_length_b 9.454
_cell_length_c 4.352
_cell_angle_alpha 90.00
_cell_angle_beta 90.68
_cell_angle_gamma 90.00
loop_
_symmetry_equiv_pos_as_xyz
'x,y,z'
'x,-y,z'
'x+1/2,y+1/2,z'
'x+1/2,-y+1/2,z'
loop_
_atom_site_label
_atom_site_type_symbol
_atom_site_fract_x
_atom_site_fract_y
_atom_site_fract_z
Er1 Er 0.000 0.000 0.000
Er2 Er 0.024 0.500 0.398
Ag1 Ag 0.258 0.250 0.218
Te1 Te 0.306 0.000 0.892
Se1 Se 0.010 0.201 0.482
Se2 Se 0.213 0.500 0.914
```

This entry pairs a crystal structure of YErAg2Se4 with its theoretical powder XRD pattern. Radiation: copper Kα. Structure: a crystal structure in OQMD, relaxed with GGA-PBE.
Intensities are scaled so that the largest is 100.

Main lines, low angle first (2θ = 10–80°):
index, d_spacing, 2theta, Rel. int.
0 0 1, 4.301, 20.7, 27
1 1 1, 3.627, 24.5, 29
0 2 1, 3.195, 27.9, 100
2 2 1, 2.654, 33.8, 70
1 3 1, 2.470, 36.4, 94
4 0 0, 2.386, 37.7, 97
3 3 1, 1.993, 45.5, 57
2 0 2, 1.960, 46.3, 52

Crystal structure
```
data_YErAg2Se4
_symmetry_space_group_name_H-M 'C m m 2'
_symmetry_Int_Tables_number 35
_cell_length_a 9.537
_cell_length_b 9.549
_cell_length_c 4.301
_cell_angle_alpha 90.00
_cell_angle_beta 90.00
_cell_angle_gamma 90.00
loop_
_symmetry_equiv_pos_as_xyz
'x,y,z'
'-x,-y,z'
'-x,y,z'
'x,-y,z'
'x+1/2,y+1/2,z'
'-x+1/2,-y+1/2,z'
'-x+1/2,y+1/2,z'
'x+1/2,-y+1/2,z'
loop_
_atom_site_label
_atom_site_type_symbol
_atom_site_fract_x
_atom_site_fract_y
_atom_site_fract_z
Y1 Y 0.000 0.000 0.000
Er1 Er 0.000 0.500 0.591
Ag1 Ag 0.250 0.250 0.795
Se1 Se 0.000 0.300 0.079
Se2 Se 0.203 0.000 0.511
```

This entry pairs a crystal structure of Er2TmSi4Ag4 with its theoretical powder XRD pattern. Radiation: copper Kα. Structure: a crystal structure in OQMD, relaxed with GGA-PBE.
Intensities are scaled so that the largest is 100.

Main lines, low angle first (2θ = 10–80°):
index, d_spacing, 2theta, Rel. int.
1 2 1, 2.640, 34.0, 100
0 1 5, 2.609, 34.4, 32
1 1 4, 2.522, 35.6, 88
0 0 6, 2.345, 38.4, 29
1 2 3, 2.332, 38.6, 32
2 0 0, 2.118, 42.7, 38
0 3 3, 2.079, 43.5, 40
2 3 3, 1.483, 62.6, 26

Crystal structure
```
data_Er2TmSi4Ag4
_symmetry_space_group_name_H-M 'I m m m'
_symmetry_Int_Tables_number 71
_symmetry_space_group_name_Hall '-I 2 2'
_cell_length_a 4.235
_cell_length_b 6.956
_cell_length_c 14.074
_cell_angle_alpha 90.00
_cell_angle_beta 90.00
_cell_angle_gamma 90.00
loop_
_atom_site_label
_atom_site_type_symbol
_atom_site_fract_x
_atom_site_fract_y
_atom_site_fract_z
Er1 Er 0.000 0.000 0.125
Tm1 Tm 0.000 0.500 0.000
Si1 Si 0.000 0.323 0.500
Si2 Si 0.000 0.500 0.216
Ag1 Ag 0.000 0.199 0.331
```

This entry pairs a crystal structure of Sr2Er2Ag with its theoretical powder XRD pattern. Radiation: copper Kα. Structure: a crystal structure in OQMD, relaxed with GGA-PBE.
Intensities are scaled so that the largest is 100.

Main lines, low angle first (2θ = 10–80°):
index, d_spacing, 2theta, Rel. int.
1 1 1, 6.366, 13.9, 100
2 2 0, 3.439, 25.9, 27
2 2 2, 3.183, 28.0, 57
1 3 3, 2.835, 31.6, 52
3 1 3, 2.576, 34.8, 40
2 2 6, 2.171, 41.6, 20
1 5 3, 1.934, 47.0, 17
4 4 0, 1.720, 53.3, 17

Crystal structure
```
data_Sr2Er2Ag
_symmetry_space_group_name_H-M 'F d d d'
_symmetry_Int_Tables_number 70
_cell_length_a 9.052
_cell_length_b 10.582
_cell_length_c 16.801
_cell_angle_alpha 90.00
_cell_angle_beta 90.00
_cell_angle_gamma 90.00
loop_
_symmetry_equiv_pos_as_xyz
'x,y,z'
'-x,-y,-z'
'-x+1/4,-y+1/4,z'
'x+1/4,y+1/4,-z'
'x,-y+1/4,-z+1/4'
'-x,y+1/4,z+1/4'
'-x+1/4,y,-z+1/4'
'x+1/4,-y,z+1/4'
'x,y+1/2,z+1/2'
'-x,-y+1/2,-z+1/2'
'-x+1/4,-y+3/4,z+1/2'
'x+1/4,y+3/4,-z+1/2'
'x,-y+3/4,-z+3/4'
'-x,y+3/4,z+3/4'
'-x+1/4,y+1/2,-z+3/4'
'x+1/4,-y+1/2,z+3/4'
'x+1/2,y,z+1/2'
'-x+1/2,-y,-z+1/2'
'-x+3/4,-y+1/4,z+1/2'
'x+3/4,y+1/4,-z+1/2'
'x+1/2,-y+1/4,-z+3/4'
'-x+1/2,y+1/4,z+3/4'
'-x+3/4,y,-z+3/4'
'x+3/4,-y,z+3/4'
'x+1/2,y+1/2,z'
'-x+1/2,-y+1/2,-z'
'-x+3/4,-y+3/4,z'
'x+3/4,y+3/4,-z'
'x+1/2,-y+3/4,-z+1/4'
'-x+1/2,y+3/4,z+1/4'
'-x+3/4,y+1/2,-z+1/4'
'x+3/4,-y+1/2,z+1/4'
loop_
_atom_site_label
_atom_site_type_symbol
_atom_site_fract_x
_atom_site_fract_y
_atom_site_fract_z
Sr1 Sr 0.125 0.125 0.305
Er1 Er 0.000 0.000 0.500
Ag1 Ag 0.125 0.125 0.625
```

This entry pairs a crystal structure of Er7Ag2Te2 with its theoretical powder XRD pattern. Radiation: copper Kα. Structure: a crystal structure in OQMD, relaxed with GGA-PBE.
Intensities are scaled so that the largest is 100.

Main lines, low angle first (2θ = 10–80°):
index, d_spacing, 2theta, Rel. int.
1 1 2, 3.032, 29.5, 50
0 5 1, 2.947, 30.3, 23
0 3 3, 2.719, 32.9, 50
1 4 1, 2.684, 33.4, 100
1 3 2, 2.652, 33.8, 49
1 2 3, 2.386, 37.7, 22
2 0 0, 2.021, 44.8, 30
0 3 5, 1.799, 50.8, 25

Crystal structure
```
data_Er7Ag2Te2
_symmetry_space_group_name_H-M 'I m m 2'
_symmetry_Int_Tables_number 44
_cell_length_a 4.043
_cell_length_b 15.483
_cell_length_c 9.596
_cell_angle_alpha 90.00
_cell_angle_beta 90.00
_cell_angle_gamma 90.00
loop_
_symmetry_equiv_pos_as_xyz
'x,y,z'
'-x,-y,z'
'-x,y,z'
'x,-y,z'
'x+1/2,y+1/2,z+1/2'
'-x+1/2,-y+1/2,z+1/2'
'-x+1/2,y+1/2,z+1/2'
'x+1/2,-y+1/2,z+1/2'
loop_
_atom_site_label
_atom_site_type_symbol
_atom_site_fract_x
_atom_site_fract_y
_atom_site_fract_z
Er1 Er 0.000 0.000 0.000
Er2 Er 0.000 0.125 0.412
Er3 Er 0.000 0.317 0.624
Er4 Er 0.000 0.360 0.256
Ag1 Ag 0.000 0.236 0.925
Te1 Te 0.000 0.000 0.661
Te2 Te 0.000 0.500 0.762
```

This entry pairs a crystal structure of Er2AgTe3 with its theoretical powder XRD pattern. Radiation: copper Kα. Structure: a crystal structure in OQMD, relaxed with GGA-PBE.
Intensities are scaled so that the largest is 100.

Main lines, low angle first (2θ = 10–80°):
index, d_spacing, 2theta, Rel. int.
3 0 2, 3.259, 27.4, 11
1 1 3, 3.029, 29.5, 34
2 1 3, 2.730, 32.8, 100
3 1 1, 2.684, 33.4, 15
2 0 6, 2.227, 40.5, 10
2 1 5, 2.188, 41.3, 12
0 2 0, 2.065, 43.8, 19
3 0 6, 2.026, 44.7, 10

Crystal structure
```
data_Er2AgTe3
_symmetry_space_group_name_H-M 'P n m a'
_symmetry_Int_Tables_number 62
_cell_length_a 10.921
_cell_length_b 4.131
_cell_length_c 14.634
_cell_angle_alpha 90.00
_cell_angle_beta 90.00
_cell_angle_gamma 90.00
loop_
_symmetry_equiv_pos_as_xyz
'x,y,z'
'-x,-y,-z'
'-x+1/2,-y,z+1/2'
'x+1/2,y,-z+1/2'
'x+1/2,-y+1/2,-z+1/2'
'-x+1/2,y+1/2,z+1/2'
'-x,y+1/2,-z'
'x,-y+1/2,z'
loop_
_atom_site_label
_atom_site_type_symbol
_atom_site_fract_x
_atom_site_fract_y
_atom_site_fract_z
Er1 Er 0.016 0.250 0.247
Er2 Er 0.229 0.750 0.527
Ag1 Ag 0.236 0.250 0.726
Te1 Te 0.038 0.250 0.601
Te2 Te 0.077 0.750 0.098
Te3 Te 0.236 0.750 0.862
```

This entry pairs a crystal structure of ErTm4Ag5 with its theoretical powder XRD pattern. Radiation: copper Kα. Structure: a crystal structure in OQMD, relaxed with GGA-PBE.
Intensities are scaled so that the largest is 100.

Main lines, low angle first (2θ = 10–80°):
index, d_spacing, 2theta, Rel. int.
1 0 0, 3.576, 24.9, 5
1 1 0, 2.529, 35.5, 100
1 1 5, 2.065, 43.8, 1
0 0 10, 1.791, 51.0, 6
2 0 0, 1.787, 51.1, 12
2 0 5, 1.600, 57.6, 1
2 1 5, 1.460, 63.7, 35
2 2 0, 1.264, 75.1, 11

Crystal structure
```
data_ErTm4Ag5
_symmetry_space_group_name_H-M 'P 4/m m m'
_symmetry_Int_Tables_number 123
_symmetry_space_group_name_Hall '-P 4 2'
_cell_length_a 3.574
_cell_length_b 3.574
_cell_length_c 17.908
_cell_angle_alpha 90.00
_cell_angle_beta 90.00
_cell_angle_gamma 90.00
loop_
_atom_site_label
_atom_site_type_symbol
_atom_site_fract_x
_atom_site_fract_y
_atom_site_fract_z
Er1 Er 0.000 0.000 0.000
Tm1 Tm 0.000 0.000 0.201
Tm2 Tm 0.000 0.000 0.400
Ag1 Ag 0.500 0.500 0.101
Ag2 Ag 0.500 0.500 0.300
Ag3 Ag 0.500 0.500 0.500
```

This entry pairs a crystal structure of ErZrAg6 with its theoretical powder XRD pattern. Radiation: copper Kα. Structure: a crystal structure in OQMD, relaxed with GGA-PBE.
Intensities are scaled so that the largest is 100.

Main lines, low angle first (2θ = 10–80°):
index, d_spacing, 2theta, Rel. int.
0 2 1, 2.620, 34.2, 26
2 0 0, 2.465, 36.5, 41
1 2 1, 2.313, 38.9, 100
1 0 2, 2.254, 40.0, 49
2 2 1, 1.795, 50.9, 16
0 2 3, 1.479, 62.8, 15
3 2 1, 1.392, 67.3, 19
2 2 3, 1.268, 74.9, 20

Crystal structure
```
data_ErZrAg6
_symmetry_space_group_name_H-M 'P m m 2'
_symmetry_Int_Tables_number 25
_cell_length_a 4.929
_cell_length_b 6.120
_cell_length_c 5.070
_cell_angle_alpha 90.00
_cell_angle_beta 90.00
_cell_angle_gamma 90.00
loop_
_symmetry_equiv_pos_as_xyz
'x,y,z'
'-x,-y,z'
'-x,y,z'
'x,-y,z'
loop_
_atom_site_label
_atom_site_type_symbol
_atom_site_fract_x
_atom_site_fract_y
_atom_site_fract_z
Er1 Er 0.000 0.000 0.000
Zr1 Zr 0.500 0.500 0.313
Ag1 Ag 0.000 0.261 0.493
Ag2 Ag 0.000 0.500 0.989
Ag3 Ag 0.500 0.000 0.338
Ag4 Ag 0.500 0.253 0.819
```

This entry pairs a crystal structure of AgF with its theoretical powder XRD pattern. Radiation: copper Kα. Structure: a crystal structure in OQMD, relaxed with GGA-PBE.
Intensities are scaled so that the largest is 100.

Main lines, low angle first (2θ = 10–80°):
index, d_spacing, 2theta, Rel. int.
0 0 3, 2.835, 31.6, 25
0 1 1, 2.825, 31.7, 73
1 0 2, 2.449, 36.7, 100
0 1 4, 1.734, 52.8, 32
1 1 0, 1.729, 52.9, 32
1 0 5, 1.479, 62.8, 10
2 0 1, 1.476, 63.0, 30
0 2 2, 1.413, 66.2, 16

Crystal structure
```
data_AgF
_symmetry_space_group_name_H-M 'P 31 2 1'
_symmetry_Int_Tables_number 152
_cell_length_a 3.4586
_cell_length_b 3.4586
_cell_length_c 8.5039
_cell_angle_alpha 90.00
_cell_angle_beta 90.00
_cell_angle_gamma 120.00
loop_
_symmetry_equiv_pos_as_xyz
'x,y,z'
'-y,x-y,z+1/3'
'-x+y,-x,z+2/3'
'y,x,-z'
'x-y,-y,-z+2/3'
'-x,-x+y,-z+1/3'
loop_
_atom_site_label
_atom_site_type_symbol
_atom_site_fract_x
_atom_site_fract_y
_atom_site_fract_z
Ag1 Ag 0.0000 0.6624 0.1667
F1 F 0.0000 0.6673 0.6667
```